For NaAsWO5, a DFT-relaxed cell (GGA+U, Alexandria) gives the calculated X-ray diffraction stick pattern in this record (Cu Ka).
Intensities are scaled so that the largest is 100.

The 6 most intense peaks (2θ from 10° to 90°), in order of falling intensity:
2θ/deg, Rel. int.
32.9, 100
17.0, 81
25.9, 77
28.0, 47
56.6, 23
41.0, 21

Structure:
Unit cell a=5.709 b=5.709 c=7.514 alpha=104.63 beta=104.63 gamma=104.56
Fractional positions:
Na 0.173 0.827 0.750
Na 0.827 0.173 0.250
As 0.182 0.818 0.250
As 0.818 0.182 0.750
W 0.500 0.500 0.000
W 0.500 0.500 0.500
O 0.115 0.246 0.916
O 0.178 0.598 0.372
O 0.246 0.115 0.416
O 0.402 0.822 0.128
O 0.429 0.571 0.750
O 0.571 0.429 0.250
O 0.598 0.178 0.872
O 0.754 0.885 0.584
O 0.822 0.402 0.628
O 0.885 0.754 0.084